# 1
This entry pairs a crystal structure of Ho4PPb2 with its calculated X-ray powder pattern. Radiation: λ = 1.5418 Å (Cu Kα). Structure: a DFT-relaxed cell (PBE, Alexandria).
Intensities are scaled so that the largest is 100.

Peak list (6 most intense, 2θ from 15° to 90°, by angle)
31.5°, intensity 86; 31.8°, intensity 87; 32.2°, intensity 63; 33.8°, intensity 100; 33.9°, intensity 97; 37.1°, intensity 81

Crystal structure
```
Ho4PPb2
1.0
6.580 0.000 0.000
0.000 6.548 0.000
-3.119 0.000 9.067
Ho P Pb
8 2 4
Direct
0.167 0.250 0.080
0.257 0.002 0.753
0.257 0.498 0.753
0.302 0.750 0.369
0.698 0.250 0.631
0.743 0.502 0.247
0.743 0.998 0.247
0.833 0.750 0.920
0.490 0.250 0.341
0.510 0.750 0.659
0.142 0.250 0.450
0.340 0.750 0.049
0.660 0.250 0.951
0.858 0.750 0.550
```

***

# 2
This entry pairs a crystal structure of Tm4ScPb2 with its calculated X-ray powder pattern. Radiation: λ = 1.5418 Å (Cu Kα). Structure: a DFT-relaxed cell (PBE, Alexandria).
Intensities are scaled so that the largest is 100.

Peak list (6 most intense, 2θ from 15° to 90°, by angle)
33.5°, intensity 100; 35.6°, intensity 19; 39.0°, intensity 19; 41.7°, intensity 12; 53.8°, intensity 12; 67.1°, intensity 14

Crystal structure
```
Tm4ScPb2
1.0
4.332 -5.038 0.000
4.332 5.038 0.000
0.000 0.000 4.620
Tm Sc Pb
4 1 2
Direct
0.000 0.500 0.500
0.210 0.210 0.000
0.500 0.000 0.500
0.790 0.790 0.000
0.500 0.500 0.500
0.282 0.718 0.000
0.718 0.282 0.000
```